Starting from DFT lattice parameters and positions (PBE+U), the X-ray diffraction stick pattern of LiFePO4 was simulated for Cu Ka.

Peak list (10 most intense, 10° ≤ 2θ ≤ 90°, in order of rising 2θ)
2θ = 17.03°, I 1000, hkl 2 0 0; 2θ = 20.37°, I 135, hkl 1 0 1; 2θ = 22.23°, I 360, hkl 2 1 0; 2θ = 31.81°, I 449, hkl 3 0 1; 2θ = 35.37°, I 751, hkl 1 2 1; 2θ = 38.50°, I 131, hkl 2 2 1; 2θ = 43.30°, I 225, hkl 3 2 1; 2θ = 47.59°, I 138, hkl 5 0 1; 2θ = 51.11°, I 260, hkl 2 2 2; 2θ = 61.09°, I 159, hkl 6 2 0

Structure:
Cell lengths 10.414, 6.244, 4.799 Å; angles 90.00, 90.00, 90.00 degrees
Fractional coordinates of all 28 atoms:
Li  0.213  0.250  0.005
Li  0.287  0.750  0.505
Li  0.713  0.250  0.495
Li  0.787  0.750  0.995
Fe  0.000  0.000  0.500
Fe  0.000  0.500  0.500
Fe  0.500  0.000  0.000
Fe  0.500  0.500  0.000
P  0.096  0.750  0.080
P  0.404  0.250  0.580
P  0.596  0.750  0.420
P  0.904  0.250  0.920
O  0.045  0.250  0.788
O  0.088  0.750  0.754
O  0.160  0.546  0.198
O  0.160  0.954  0.198
O  0.340  0.046  0.698
O  0.340  0.454  0.698
O  0.412  0.250  0.254
O  0.455  0.750  0.288
O  0.545  0.250  0.712
O  0.588  0.750  0.746
O  0.660  0.546  0.302
O  0.660  0.954  0.302
O  0.840  0.046  0.802
O  0.840  0.454  0.802
O  0.912  0.250  0.246
O  0.955  0.750  0.212